Diffraction record for AcNiC2O6. The powder XRD pattern is computed, not measured: it uses a crystal structure in Alexandria, relaxed with GGA+U and Cu Kα (weighted mean of Kα1 and Kα2).
Intensities are scaled so that the largest is 100.

The 6 most intense peaks (2θ = 15–90°), sorted by position:
d [Å], two_theta, I_rel
4.174, 21.29, 37
3.837, 23.18, 86
3.016, 29.62, 100
2.487, 36.12, 38
2.087, 43.36, 28
1.864, 48.86, 40

```
AcNiC2O6
1.0
2.4868 1.4357 5.6324
-2.4868 1.4357 5.6324
0.0000 -2.8715 5.6324
Ac Ni C O
1 1 2 6
Direct
0.0000 0.0000 0.0000
0.5000 0.5000 0.5000
0.2405 0.2405 0.2405
0.7595 0.7595 0.7595
0.0468 0.6840 0.5327
0.3160 0.4673 0.9532
0.4673 0.9532 0.3160
0.5327 0.0468 0.6840
0.6840 0.5327 0.0468
0.9532 0.3160 0.4673
```